(1)
Simulated PXRD pattern of NaPuAsO5 for copper Kα, from the PBE geometry in Alexandria.
Peak positions follow from Bragg's law for the DFT cell and can differ from measured ones.

Structure:
Cell: 7.406 9.421 7.820 Å, 90.00 113.68 90.00°
Space group C2/c (No. 15)
Symmetry-distinct sites (fractional):
Na 0.000 0.170 0.250 x4
Pu 0.000 0.500 0.000 x4
As 0.000 0.171 0.750 x4
O 0.000 0.421 0.250 x4
O 0.097 0.276 0.626 x8
O 0.174 0.058 0.902 x8

Top 6 peaks for 5° ≤ 2θ ≤ 70°, sorted by position:
| index | 2θ/deg | I (rel.) |
| --- | --- | --- |
| 1 1 0 | 16.10 | 941 |
| 0 2 0 | 18.84 | 297 |
| 1 1 -2 | 24.85 | 912 |
| 2 0 0 | 26.28 | 511 |
| 1 3 0 | 31.39 | 1000 |
| 1 1 2 | 34.02 | 466 |



(2)
Simulated PXRD pattern of P2ClF6 for copper Kα, from the PBE geometry in Alexandria.
Peak positions follow from Bragg's law for the DFT cell and can differ from measured ones.

Structure:
Cell: 6.163 7.455 9.795 Å, 69.95 71.68 88.44°
Space group P-1 (No. 2)
Symmetry-distinct sites (fractional):
P 0.075 0.404 0.309 x2
P 0.396 0.968 0.834 x2
Cl 0.291 0.864 0.188 x2
F 0.051 0.808 0.613 x2
F 0.202 0.792 0.892 x2
F 0.206 0.387 0.429 x2
F 0.229 0.129 0.846 x2
F 0.287 0.364 0.180 x2
F 0.466 0.000 0.657 x2

Top 6 peaks for 5° ≤ 2θ ≤ 70°, sorted by position:
| index | 2θ/deg | I (rel.) |
| --- | --- | --- |
| 0 1 0 | 12.69 | 616 |
| 1 0 1 | 15.31 | 462 |
| 1 -1 0 | 18.92 | 1000 |
| 0 0 2 | 20.41 | 481 |
| -1 1 1 | 21.77 | 584 |
| 1 -2 0 | 28.62 | 691 |



(3)
Simulated PXRD pattern of AcErSnPb for copper Kα, from the PBE geometry in Alexandria.
Peak positions follow from Bragg's law for the DFT cell and can differ from measured ones.

Structure:
Cell: 7.951 7.951 7.951 Å, 90.00 90.00 90.00°
Space group F-43m (No. 216)
Symmetry-distinct sites (fractional):
Ac 0.000 0.000 0.000 x4
Er 0.000 0.000 0.500 x4
Sn 0.250 0.250 0.250 x4
Pb 0.250 0.250 0.750 x4

Top 6 peaks for 5° ≤ 2θ ≤ 70°, sorted by position:
| index | 2θ/deg | I (rel.) |
| --- | --- | --- |
| 1 1 1 | 19.34 | 42 |
| 2 2 0 | 31.83 | 1000 |
| 3 1 1 | 37.51 | 26 |
| 4 0 0 | 45.64 | 188 |
| 4 2 2 | 56.72 | 401 |
| 4 4 0 | 66.52 | 125 |



(4)
Simulated PXRD pattern of Pu2U5Os3 for copper Kα, from the PBE geometry in Alexandria.
Peak positions follow from Bragg's law for the DFT cell and can differ from measured ones.

Structure:
Cell: 7.580 12.822 8.854 Å, 90.00 90.00 90.00°
Space group Ibam (No. 72)
Symmetry-distinct sites (fractional):
Pu 0.106 0.163 0.000 x8
U 0.000 0.243 0.250 x8
U 0.000 0.500 0.250 x4
U 0.183 0.078 0.500 x8
Os 0.000 0.000 0.250 x4
Os 0.034 0.384 0.500 x8

Top 6 peaks for 5° ≤ 2θ ≤ 70°, sorted by position:
| index | 2θ/deg | I (rel.) |
| --- | --- | --- |
| 2 0 0 | 23.47 | 491 |
| 1 4 1 | 31.95 | 321 |
| 0 4 2 | 34.55 | 1000 |
| 3 2 1 | 39.67 | 248 |
| 0 0 4 | 40.76 | 541 |
| 2 4 2 | 42.19 | 542 |



(5)
Simulated PXRD pattern of PrPa2O7 for copper Kα, from the PBE geometry in Alexandria.
Peak positions follow from Bragg's law for the DFT cell and can differ from measured ones.

Structure:
Cell: 3.9264 3.9264 31.9990 Å, 90.00 90.00 120.00°
Space group R-3m (No. 166, hexagonal axes)
Symmetry-distinct sites (fractional):
Pr 0.0000 0.0000 0.0000 x3
Pa 0.0000 0.0000 0.4325 x6
O 0.0000 0.0000 0.0788 x6
O 0.0000 0.0000 0.2185 x6
O 0.0000 0.0000 0.3638 x6
O 0.0000 0.0000 0.5000 x3

Top 6 peaks for 5° ≤ 2θ ≤ 70°, sorted by position:
| index | 2θ/deg | I (rel.) |
| --- | --- | --- |
| 0 0 9 | 25.05 | 503 |
| 0 1 2 | 26.80 | 1000 |
| 0 1 5 | 29.75 | 564 |
| 1 0 7 | 32.83 | 682 |
| 1 1 0 | 46.24 | 589 |
| 0 1 14 | 47.96 | 469 |



(6)
Simulated PXRD pattern of K3PaCl8 for copper Kα, from the PBE geometry in Alexandria.
Peak positions follow from Bragg's law for the DFT cell and can differ from measured ones.

Structure:
Cell: 7.166 7.166 7.166 Å, 90.00 90.00 90.00°
Space group Pm-3m (No. 221)
Symmetry-distinct sites (fractional):
K 0.000 0.000 0.500 x3
Pa 0.500 0.500 0.500 x1
Cl 0.279 0.279 0.279 x8

Top 6 peaks for 5° ≤ 2θ ≤ 70°, sorted by position:
| index | 2θ/deg | I (rel.) |
| --- | --- | --- |
| 1 0 0 | 12.35 | 980 |
| 1 1 0 | 17.50 | 583 |
| 1 1 1 | 21.48 | 839 |
| 2 2 0 | 35.43 | 1000 |
| 3 1 1 | 41.81 | 414 |
| 3 2 0 | 45.65 | 286 |



(7)
Simulated PXRD pattern of La3Pm8Y for copper Kα, from the PBE geometry in Alexandria.
Peak positions follow from Bragg's law for the DFT cell and can differ from measured ones.

Structure:
Cell: 6.429 8.722 8.740 Å, 85.45 68.44 68.55°
Space group P1 (No. 1)
Symmetry-distinct sites (fractional):
La 0.000 0.000 0.000 x1
La 0.001 0.497 0.502 x1
La 0.336 0.746 0.249 x1
Pm 0.001 0.080 0.582 x1
Pm 0.002 0.577 0.080 x1
Pm 0.334 0.167 0.166 x1
Pm 0.334 0.664 0.670 x1
Pm 0.663 0.915 0.418 x1
Pm 0.667 0.412 0.915 x1
Pm 0.668 0.330 0.336 x1
Pm 0.668 0.833 0.832 x1
Y 0.338 0.246 0.749 x1

Top 6 peaks for 5° ≤ 2θ ≤ 70°, sorted by position:
| index | 2θ/deg | I (rel.) |
| --- | --- | --- |
| 1 2 2 | 27.78 | 280 |
| 0 2 -2 | 30.17 | 301 |
| 2 2 0 | 31.68 | 1000 |
| 1 3 1 | 31.76 | 190 |
| 1 -4 2 | 54.53 | 171 |
| 3 2 -2 | 58.71 | 181 |



(8)
Simulated PXRD pattern of K2CdSiAu2 for copper Kα, from the PBE geometry in Alexandria.
Peak positions follow from Bragg's law for the DFT cell and can differ from measured ones.

Structure:
Cell: 6.732 14.243 7.174 Å, 90.00 90.00 90.00°
Space group Ibam (No. 72)
Symmetry-distinct sites (fractional):
K 0.245 0.180 0.000 x8
Cd 0.000 0.000 0.250 x4
Si 0.000 0.500 0.250 x4
Au 0.206 0.426 0.000 x8

Top 6 peaks for 5° ≤ 2θ ≤ 70°, sorted by position:
| index | 2θ/deg | I (rel.) |
| --- | --- | --- |
| 0 2 0 | 12.43 | 1000 |
| 1 2 1 | 21.99 | 573 |
| 0 0 2 | 24.82 | 214 |
| 1 4 1 | 31.03 | 882 |
| 2 0 2 | 36.61 | 450 |
| 1 4 3 | 47.76 | 264 |



(9)
Simulated PXRD pattern of Ce4AgGe12 for copper Kα, from the PBE geometry in Alexandria.
Peak positions follow from Bragg's law for the DFT cell and can differ from measured ones.

Structure:
Cell: 8.848 8.848 8.848 Å, 90.00 90.00 90.00°
Space group Im-3m (No. 229)
Symmetry-distinct sites (fractional):
Ce 0.250 0.250 0.250 x8
Ag 0.000 0.000 0.000 x2
Ge 0.000 0.000 0.303 x12
Ge 0.000 0.250 0.500 x12

Top 6 peaks for 5° ≤ 2θ ≤ 70°, sorted by position:
| index | 2θ/deg | I (rel.) |
| --- | --- | --- |
| 2 2 0 | 28.54 | 310 |
| 2 2 2 | 35.14 | 1000 |
| 3 2 1 | 38.06 | 152 |
| 4 0 0 | 40.80 | 671 |
| 3 3 2 | 48.25 | 122 |
| 4 4 0 | 59.06 | 376 |